Record 1
Starting from a PBE+U-relaxed structure, the X-ray diffraction stick pattern of Li2V3SnO8 was computed for copper Kα.
Peak positions follow from Bragg's law for the DFT cell and can differ from measured ones.

Main lines, most intense first (10 to 90 degrees two-theta):
2theta  I_rel
18.0  1000
41.9  509
33.9  204
34.6  181
34.5  178
60.0  110

Cell and atoms:
Cell: 6.0094 6.1687 10.4564 Å, 106.23 90.01 119.09°
Space group P-1 (No. 2)
Asymmetric unit:
1 Li 0.0642 0.1342 0.1876
2 Li 0.4295 0.8657 0.3120
3 V 0.0000 0.5000 0.0000
4 V 0.0000 0.5000 0.5000
5 V 0.2545 0.4995 0.7499
6 V 0.5000 0.5000 0.0000
7 V 0.5000 0.5000 0.5000
8 Sn 0.0000 0.0000 0.5000
9 Sn 0.5000 0.0000 0.0000
10 O 0.0919 0.7323 0.3788
11 O 0.1380 0.7310 0.8800
12 O 0.1418 0.2689 0.3913
13 O 0.1638 0.2997 0.8876
14 O 0.3645 0.7001 0.6124
15 O 0.3694 0.2677 0.6166
16 O 0.3767 0.7337 0.1091
17 O 0.3996 0.2686 0.1174



Record 2
Starting from a PBE+U-relaxed structure, the X-ray diffraction stick pattern of NaMnO2 was computed for copper Kα.
Peak positions follow from Bragg's law for the DFT cell and can differ from measured ones.

Main lines, most intense first (10 to 90 degrees two-theta):
2theta  I_rel
42.2  1000
36.7  827
17.2  774
34.9  723
57.2  713
73.6  279

Cell and atoms:
Cell: 8.5534 8.5705 9.7841 Å, 90.00 90.00 90.00°
Space group Fddd (No. 70, origin choice 2)
Asymmetric unit:
1 Na 0.0000 0.0000 0.0000
2 Mn 0.0000 0.0000 0.5000
3 O 0.0196 0.0193 0.7481



Record 3
Starting from a PBE+U-relaxed structure, the X-ray diffraction stick pattern of Ga2CoP3NO14 was computed for copper Kα.
Peak positions follow from Bragg's law for the DFT cell and can differ from measured ones.

Main lines, most intense first (10 to 90 degrees two-theta):
2theta  I_rel
16.7  1000
11.1  446
29.2  393
28.9  255
26.6  219
27.7  206

Cell and atoms:
Cell: 13.2151 10.4312 9.1253 Å, 90.00 109.57 90.00°
Space group C2/c (No. 15)
Asymmetric unit:
1 Ga 0.1787 0.0745 0.0702
2 Co 0.0000 0.2775 0.2500
3 P 0.0000 0.0082 0.2500
4 P 0.2114 0.3668 0.1744
5 N 0.0000 0.3629 0.7500
6 O 0.0590 0.0787 0.8875
7 O 0.0749 0.1056 0.2037
8 O 0.0913 0.2948 0.4620
9 O 0.0932 0.3784 0.1769
10 O 0.2129 0.0853 0.6660
11 O 0.2191 0.4501 0.0405
12 O 0.2419 0.2264 0.1602



Record 4
Starting from a PBE+U-relaxed structure, the X-ray diffraction stick pattern of Li3MnSi2O7 was computed for copper Kα.
Peak positions follow from Bragg's law for the DFT cell and can differ from measured ones.

Main lines, most intense first (10 to 90 degrees two-theta):
2theta  I_rel
35.0  1000
21.6  829
14.2  784
24.9  455
21.0  401
24.4  383

Cell and atoms:
Cell: 8.9758 12.4848 4.9945 Å, 90.00 90.00 90.00°
Space group Pnma (No. 62)
Asymmetric unit:
1 Li 0.0292 0.2500 0.0114
2 Li 0.1639 0.5934 0.5200
3 Mn 0.0000 0.0000 0.0000
4 Si 0.1881 0.1316 0.4958
5 O 0.1060 0.0363 0.3259
6 O 0.1283 0.2500 0.3763
7 O 0.1326 0.6244 0.9209
8 O 0.1529 0.1253 0.8124



Record 5
Starting from a PBE+U-relaxed structure, the X-ray diffraction stick pattern of Zn4Cr5Te3O18 was computed for copper Kα.
Peak positions follow from Bragg's law for the DFT cell and can differ from measured ones.

Main lines, most intense first (10 to 90 degrees two-theta):
2theta  I_rel
34.2  1000
28.1  584
34.6  542
60.7  489
20.5  480
54.3  463

Cell and atoms:
Cell: 14.8663 9.1505 10.5742 Å, 90.00 95.48 90.00°
Space group C2/c (No. 15)
Asymmetric unit:
1 Zn 0.0277 0.1504 0.0360
2 Zn 0.2042 0.3557 0.9333
3 Cr 0.0000 0.3287 0.7500
4 Cr 0.1539 0.3382 0.2717
5 Cr 0.1649 0.1882 0.5419
6 Te 0.0000 0.5000 0.0000
7 Te 0.1556 0.0095 0.7921
8 O 0.0694 0.3233 0.9238
9 O 0.0744 0.4943 0.6799
10 O 0.0849 0.0276 0.4580
11 O 0.0853 0.1731 0.6873
12 O 0.0847 0.3341 0.4361
13 O 0.0912 0.1596 0.2040
14 O 0.2305 0.1904 0.3827
15 O 0.2323 0.3234 0.1226
16 O 0.2476 0.0306 0.6393